[1]
This entry pairs a crystal structure of K3SnSe4 with its theoretical powder X-ray diffraction pattern. Radiation: λ = 1.5418 Å (Cu Kα). Structure: a structure optimized by DFT (PBE).
Kinematic intensities with the Lorentz-polarization factor, no thermal factor.

Top 8 peaks for 2θ from 5° to 70°, low angle first:
Position (°2θ)	intensity
15.53	58
27.06	78
31.35	100
41.88	38
47.81	57
50.58	22
55.80	20
69.93	21

```
data_K3SnSe4
_chemical_formula_sum 'K6 Sn2 Se8'
_symmetry_space_group_name_H-M 'P 1'
_symmetry_Int_Tables_number 1
_cell_length_a 8.0710
_cell_length_b 8.0710
_cell_length_c 8.0710
_cell_angle_alpha 90.00
_cell_angle_beta 90.00
_cell_angle_gamma 90.00
loop_
_symmetry_equiv_pos_as_xyz
'x,y,z'
loop_
_atom_site_label
_atom_site_type_symbol
_atom_site_fract_x
_atom_site_fract_y
_atom_site_fract_z
K1 K 0.0000 0.0000 0.5000
K2 K 0.0000 0.5000 0.0000
K3 K 0.0000 0.5000 0.5000
K4 K 0.5000 0.0000 0.0000
K5 K 0.5000 0.0000 0.5000
K6 K 0.5000 0.5000 0.0000
Sn1 Sn 0.0000 0.0000 0.0000
Sn2 Sn 0.5000 0.5000 0.5000
Se1 Se 0.1846 0.1846 0.1846
Se2 Se 0.1846 0.8154 0.8154
Se3 Se 0.3154 0.3154 0.6846
Se4 Se 0.3154 0.6846 0.3154
Se5 Se 0.6846 0.3154 0.3154
Se6 Se 0.6846 0.6846 0.6846
Se7 Se 0.8154 0.1846 0.8154
Se8 Se 0.8154 0.8154 0.1846
```



[2]
This entry pairs a crystal structure of K2SnSe2 with its theoretical powder X-ray diffraction pattern. Radiation: λ = 1.5418 Å (Cu Kα). Structure: a structure optimized by DFT (PBE).
Kinematic intensities with the Lorentz-polarization factor, no thermal factor.

Top 8 peaks for 2θ from 5° to 70°, low angle first:
Position (°2θ)	intensity
8.48	90
15.33	59
16.06	85
26.37	100
29.42	57
30.95	58
31.17	42
33.40	41

```
data_K2SnSe2
_chemical_formula_sum 'K8 Sn4 Se8'
_symmetry_space_group_name_H-M 'P 1'
_symmetry_Int_Tables_number 1
_cell_length_a 10.8017
_cell_length_b 8.4409
_cell_length_c 8.2142
_cell_angle_alpha 90.00
_cell_angle_beta 105.13
_cell_angle_gamma 90.00
loop_
_symmetry_equiv_pos_as_xyz
'x,y,z'
loop_
_atom_site_label
_atom_site_type_symbol
_atom_site_fract_x
_atom_site_fract_y
_atom_site_fract_z
K1 K 0.0405 0.2384 0.0175
K2 K 0.0405 0.2616 0.5175
K3 K 0.3186 0.6473 0.0053
K4 K 0.3186 0.8527 0.5053
K5 K 0.6814 0.1473 0.4947
K6 K 0.6814 0.3527 0.9947
K7 K 0.9595 0.7384 0.4825
K8 K 0.9595 0.7616 0.9825
Sn1 Sn 0.3528 0.1408 0.9347
Sn2 Sn 0.3528 0.3592 0.4347
Sn3 Sn 0.6472 0.6408 0.5653
Sn4 Sn 0.6472 0.8592 0.0653
Se1 Se 0.1451 0.5407 0.2829
Se2 Se 0.1451 0.9593 0.7829
Se3 Se 0.4611 0.5408 0.7089
Se4 Se 0.4611 0.9592 0.2089
Se5 Se 0.5389 0.0408 0.7911
Se6 Se 0.5389 0.4592 0.2911
Se7 Se 0.8549 0.0407 0.2171
Se8 Se 0.8549 0.4593 0.7171
```



[3]
This entry pairs a crystal structure of K2Sn2Se3 with its theoretical powder X-ray diffraction pattern. Radiation: λ = 1.5418 Å (Cu Kα). Structure: a structure optimized by DFT (PBE).
Kinematic intensities with the Lorentz-polarization factor, no thermal factor.

Top 8 peaks for 2θ from 5° to 70°, low angle first:
Position (°2θ)	intensity
14.82	77
15.47	71
24.18	42
24.63	33
29.86	100
31.22	59
38.59	35
43.74	57

```
data_K2Sn2Se3
_chemical_formula_sum 'K4 Sn4 Se6'
_symmetry_space_group_name_H-M 'P 1'
_symmetry_Int_Tables_number 1
_cell_length_a 13.8754
_cell_length_b 5.9854
_cell_length_c 6.6248
_cell_angle_alpha 90.00
_cell_angle_beta 115.54
_cell_angle_gamma 90.00
loop_
_symmetry_equiv_pos_as_xyz
'x,y,z'
loop_
_atom_site_label
_atom_site_type_symbol
_atom_site_fract_x
_atom_site_fract_y
_atom_site_fract_z
K1 K 0.1018 0.0000 0.2795
K2 K 0.3982 0.5000 0.7205
K3 K 0.6018 0.5000 0.2795
K4 K 0.8982 0.0000 0.7205
Sn1 Sn 0.1440 0.5000 0.8226
Sn2 Sn 0.3560 0.0000 0.1774
Sn3 Sn 0.6440 0.0000 0.8226
Sn4 Sn 0.8560 0.5000 0.1774
Se1 Se 0.0000 0.5000 0.0000
Se2 Se 0.1652 0.0000 0.8151
Se3 Se 0.3348 0.5000 0.1849
Se4 Se 0.5000 0.0000 0.0000
Se5 Se 0.6652 0.5000 0.8151
Se6 Se 0.8348 0.0000 0.1849
```



[4]
This entry pairs a crystal structure of KSnSe with its theoretical powder X-ray diffraction pattern. Radiation: λ = 1.5418 Å (Cu Kα). Structure: a structure optimized by DFT (PBE).
Kinematic intensities with the Lorentz-polarization factor, no thermal factor.

Top 8 peaks for 2θ from 5° to 70°, low angle first:
Position (°2θ)	intensity
11.55	49
17.35	100
21.43	34
31.81	32
33.03	28
36.49	37
36.96	31
50.03	30

```
data_KSnSe
_chemical_formula_sum 'K4 Sn4 Se4'
_symmetry_space_group_name_H-M 'P 1'
_symmetry_Int_Tables_number 1
_cell_length_a 5.4234
_cell_length_b 6.4304
_cell_length_c 15.3217
_cell_angle_alpha 90.00
_cell_angle_beta 90.00
_cell_angle_gamma 90.00
loop_
_symmetry_equiv_pos_as_xyz
'x,y,z'
loop_
_atom_site_label
_atom_site_type_symbol
_atom_site_fract_x
_atom_site_fract_y
_atom_site_fract_z
K1 K 0.0000 0.0000 0.1496
K2 K 0.0000 0.0000 0.8504
K3 K 0.5000 0.5000 0.3504
K4 K 0.5000 0.5000 0.6496
Sn1 Sn 0.0000 0.2692 0.5000
Sn2 Sn 0.0000 0.7308 0.5000
Sn3 Sn 0.5000 0.2308 0.0000
Sn4 Sn 0.5000 0.7692 0.0000
Se1 Se 0.0000 0.0000 0.3609
Se2 Se 0.0000 0.0000 0.6391
Se3 Se 0.5000 0.5000 0.1391
Se4 Se 0.5000 0.5000 0.8609
```



[5]
This entry pairs a crystal structure of K8SnSe6 with its theoretical powder X-ray diffraction pattern. Radiation: λ = 1.5418 Å (Cu Kα). Structure: a structure optimized by DFT (PBE).
Kinematic intensities with the Lorentz-polarization factor, no thermal factor.

Top 8 peaks for 2θ from 5° to 70°, low angle first:
Position (°2θ)	intensity
13.33	39
19.47	48
22.80	70
24.50	62
26.11	41
32.11	42
34.46	100
39.52	39

```
data_K8SnSe6
_chemical_formula_sum 'K16 Sn2 Se12'
_symmetry_space_group_name_H-M 'P 1'
_symmetry_Int_Tables_number 1
_cell_length_a 9.9643
_cell_length_b 8.9156
_cell_length_c 12.5408
_cell_angle_alpha 90.00
_cell_angle_beta 90.00
_cell_angle_gamma 90.00
loop_
_symmetry_equiv_pos_as_xyz
'x,y,z'
loop_
_atom_site_label
_atom_site_type_symbol
_atom_site_fract_x
_atom_site_fract_y
_atom_site_fract_z
K1 K 0.0000 0.1438 0.0000
K2 K 0.0000 0.1830 0.5111
K3 K 0.1731 0.5129 0.1524
K4 K 0.1814 0.6803 0.8537
K5 K 0.1949 0.9355 0.2340
K6 K 0.3051 0.0645 0.7340
K7 K 0.3186 0.3197 0.3537
K8 K 0.3269 0.4871 0.6524
K9 K 0.5000 0.8170 0.0111
K10 K 0.5000 0.8562 0.5000
K11 K 0.6731 0.4871 0.6524
K12 K 0.6814 0.3197 0.3537
K13 K 0.6949 0.0645 0.7340
K14 K 0.8051 0.9355 0.2340
K15 K 0.8186 0.6803 0.8537
K16 K 0.8269 0.5129 0.1524
Sn1 Sn 0.0000 0.6861 0.5450
Sn2 Sn 0.5000 0.3139 0.0450
Se1 Se 0.0000 0.2299 0.2613
Se2 Se 0.0000 0.4616 0.6779
Se3 Se 0.0000 0.7862 0.0526
Se4 Se 0.0000 0.9090 0.6784
Se5 Se 0.2133 0.6756 0.4303
Se6 Se 0.2867 0.3244 0.9303
Se7 Se 0.5000 0.0910 0.1784
Se8 Se 0.5000 0.2138 0.5526
Se9 Se 0.5000 0.5384 0.1779
Se10 Se 0.5000 0.7701 0.7613
Se11 Se 0.7133 0.3244 0.9303
Se12 Se 0.7867 0.6756 0.4303
```



[6]
This entry pairs a crystal structure of K3SnSe2 with its theoretical powder X-ray diffraction pattern. Radiation: λ = 1.5418 Å (Cu Kα). Structure: a structure optimized by DFT (PBE).
Kinematic intensities with the Lorentz-polarization factor, no thermal factor.

Top 8 peaks for 2θ from 5° to 70°, low angle first:
Position (°2θ)	intensity
12.67	27
19.99	100
26.85	37
31.56	52
32.60	88
35.00	32
39.43	30
59.44	30

```
data_K3SnSe2
_chemical_formula_sum 'K6 Sn2 Se4'
_symmetry_space_group_name_H-M 'P 1'
_symmetry_Int_Tables_number 1
_cell_length_a 9.4287
_cell_length_b 9.4287
_cell_length_c 9.4287
_cell_angle_alpha 130.88
_cell_angle_beta 70.48
_cell_angle_gamma 132.82
loop_
_symmetry_equiv_pos_as_xyz
'x,y,z'
loop_
_atom_site_label
_atom_site_type_symbol
_atom_site_fract_x
_atom_site_fract_y
_atom_site_fract_z
K1 K 0.0156 0.7500 0.2656
K2 K 0.2500 0.2500 0.0000
K3 K 0.4844 0.7500 0.7344
K4 K 0.5156 0.2500 0.2656
K5 K 0.7500 0.7500 0.0000
K6 K 0.9844 0.2500 0.7344
Sn1 Sn 0.0000 0.5000 0.5000
Sn2 Sn 0.5000 0.0000 0.5000
Se1 Se 0.1310 0.2282 0.3592
Se2 Se 0.3690 0.7282 0.0972
Se3 Se 0.6310 0.2718 0.9028
Se4 Se 0.8690 0.7718 0.6408
```



[7]
This entry pairs a crystal structure of KSn6Se8 with its theoretical powder X-ray diffraction pattern. Radiation: λ = 1.5418 Å (Cu Kα). Structure: a structure optimized by DFT (PBE).
Kinematic intensities with the Lorentz-polarization factor, no thermal factor.

Top 8 peaks for 2θ from 5° to 70°, low angle first:
Position (°2θ)	intensity
9.28	79
22.87	29
24.73	39
28.10	56
32.57	100
33.93	31
38.99	87
46.72	25

```
data_KSn6Se8
_chemical_formula_sum 'K1 Sn6 Se8'
_symmetry_space_group_name_H-M 'P 1'
_symmetry_Int_Tables_number 1
_cell_length_a 11.0002
_cell_length_b 11.0002
_cell_length_c 4.2585
_cell_angle_alpha 90.00
_cell_angle_beta 90.00
_cell_angle_gamma 120.00
loop_
_symmetry_equiv_pos_as_xyz
'x,y,z'
loop_
_atom_site_label
_atom_site_type_symbol
_atom_site_fract_x
_atom_site_fract_y
_atom_site_fract_z
K1 K 0.0000 0.0000 0.0000
Sn1 Sn 0.1388 0.6654 0.2495
Sn2 Sn 0.3346 0.4734 0.2495
Sn3 Sn 0.4734 0.1388 0.7505
Sn4 Sn 0.5266 0.8612 0.2495
Sn5 Sn 0.6654 0.5266 0.7505
Sn6 Sn 0.8612 0.3346 0.7505
Se1 Se 0.0330 0.3394 0.2497
Se2 Se 0.3064 0.9670 0.2497
Se3 Se 0.3333 0.6667 0.7507
Se4 Se 0.3394 0.3064 0.7503
Se5 Se 0.6606 0.6936 0.2497
Se6 Se 0.6667 0.3333 0.2493
Se7 Se 0.6936 0.0330 0.7503
Se8 Se 0.9670 0.6606 0.7503
```



[8]
This entry pairs a crystal structure of KSn2Se2 with its theoretical powder X-ray diffraction pattern. Radiation: λ = 1.5418 Å (Cu Kα). Structure: a structure optimized by DFT (PBE).
Kinematic intensities with the Lorentz-polarization factor, no thermal factor.

Top 8 peaks for 2θ from 5° to 70°, low angle first:
Position (°2θ)	intensity
17.03	53
18.10	35
30.37	92
32.22	100
41.62	44
44.86	63
46.21	36
58.12	33

```
data_KSn2Se2
_chemical_formula_sum 'K2 Sn4 Se4'
_symmetry_space_group_name_H-M 'P 1'
_symmetry_Int_Tables_number 1
_cell_length_a 5.5564
_cell_length_b 5.5564
_cell_length_c 10.4109
_cell_angle_alpha 90.00
_cell_angle_beta 90.00
_cell_angle_gamma 90.00
loop_
_symmetry_equiv_pos_as_xyz
'x,y,z'
loop_
_atom_site_label
_atom_site_type_symbol
_atom_site_fract_x
_atom_site_fract_y
_atom_site_fract_z
K1 K 0.0000 0.0000 0.0000
K2 K 0.5000 0.5000 0.5000
Sn1 Sn 0.0000 0.0000 0.3446
Sn2 Sn 0.0000 0.0000 0.6554
Sn3 Sn 0.5000 0.5000 0.1554
Sn4 Sn 0.5000 0.5000 0.8446
Se1 Se 0.0000 0.5000 0.2500
Se2 Se 0.0000 0.5000 0.7500
Se3 Se 0.5000 0.0000 0.2500
Se4 Se 0.5000 0.0000 0.7500
```



[9]
This entry pairs a crystal structure of K4SnSe4 with its theoretical powder X-ray diffraction pattern. Radiation: λ = 1.5418 Å (Cu Kα). Structure: a structure optimized by DFT (PBE).
Kinematic intensities with the Lorentz-polarization factor, no thermal factor.

Top 8 peaks for 2θ from 5° to 70°, low angle first:
Position (°2θ)	intensity
13.56	100
14.60	41
15.92	38
20.78	41
26.97	47
32.82	34
34.37	43
38.53	35

```
data_K4SnSe4
_chemical_formula_sum 'K16 Sn4 Se16'
_symmetry_space_group_name_H-M 'P 1'
_symmetry_Int_Tables_number 1
_cell_length_a 14.9117
_cell_length_b 10.4315
_cell_length_c 8.3731
_cell_angle_alpha 90.00
_cell_angle_beta 90.00
_cell_angle_gamma 90.00
loop_
_symmetry_equiv_pos_as_xyz
'x,y,z'
loop_
_atom_site_label
_atom_site_type_symbol
_atom_site_fract_x
_atom_site_fract_y
_atom_site_fract_z
K1 K 0.0000 0.0000 0.0000
K2 K 0.0000 0.5000 0.0000
K3 K 0.0777 0.2500 0.4840
K4 K 0.2280 0.5500 0.3418
K5 K 0.2280 0.9500 0.3418
K6 K 0.2720 0.0500 0.8418
K7 K 0.2720 0.4500 0.8418
K8 K 0.4223 0.7500 0.9840
K9 K 0.5000 0.0000 0.5000
K10 K 0.5000 0.5000 0.5000
K11 K 0.5777 0.2500 0.0160
K12 K 0.7280 0.5500 0.1582
K13 K 0.7280 0.9500 0.1582
K14 K 0.7720 0.0500 0.6582
K15 K 0.7720 0.4500 0.6582
K16 K 0.9223 0.7500 0.5160
Sn1 Sn 0.1654 0.7500 0.7382
Sn2 Sn 0.3346 0.2500 0.2382
Sn3 Sn 0.6654 0.7500 0.7618
Sn4 Sn 0.8346 0.2500 0.2618
Se1 Se 0.0840 0.5494 0.6427
Se2 Se 0.0840 0.9506 0.6427
Se3 Se 0.1719 0.7500 0.0452
Se4 Se 0.1744 0.2500 0.1203
Se5 Se 0.3256 0.7500 0.6203
Se6 Se 0.3281 0.2500 0.5452
Se7 Se 0.4160 0.0494 0.1427
Se8 Se 0.4160 0.4506 0.1427
Se9 Se 0.5840 0.5494 0.8573
Se10 Se 0.5840 0.9506 0.8573
Se11 Se 0.6719 0.7500 0.4548
Se12 Se 0.6744 0.2500 0.3797
Se13 Se 0.8256 0.7500 0.8797
Se14 Se 0.8281 0.2500 0.9548
Se15 Se 0.9160 0.0494 0.3573
Se16 Se 0.9160 0.4506 0.3573
```



[10]
This entry pairs a crystal structure of K2TmSnSe4 with its theoretical powder X-ray diffraction pattern. Radiation: λ = 1.5418 Å (Cu Kα). Structure: a structure optimized by DFT (PBE).
Kinematic intensities with the Lorentz-polarization factor, no thermal factor.

Top 8 peaks for 2θ from 5° to 70°, low angle first:
Position (°2θ)	intensity
15.20	74
27.07	59
30.67	44
32.68	100
42.54	40
47.11	17
49.44	19
50.81	21

```
data_K2TmSnSe4
_chemical_formula_sum 'K4 Tm2 Sn2 Se8'
_symmetry_space_group_name_H-M 'P 1'
_symmetry_Int_Tables_number 1
_cell_length_a 8.2439
_cell_length_b 8.2439
_cell_length_c 7.3379
_cell_angle_alpha 90.00
_cell_angle_beta 90.00
_cell_angle_gamma 90.00
loop_
_symmetry_equiv_pos_as_xyz
'x,y,z'
loop_
_atom_site_label
_atom_site_type_symbol
_atom_site_fract_x
_atom_site_fract_y
_atom_site_fract_z
K1 K 0.0000 0.5000 0.0000
K2 K 0.0000 0.5000 0.5000
K3 K 0.5000 0.0000 0.0000
K4 K 0.5000 0.0000 0.5000
Tm1 Tm 0.0000 0.0000 0.0000
Tm2 Tm 0.5000 0.5000 0.5000
Sn1 Sn 0.0000 0.0000 0.5000
Sn2 Sn 0.5000 0.5000 0.0000
Se1 Se 0.1741 0.1741 0.2477
Se2 Se 0.1741 0.8259 0.7523
Se3 Se 0.3259 0.3259 0.7477
Se4 Se 0.3259 0.6741 0.2523
Se5 Se 0.6741 0.3259 0.2523
Se6 Se 0.6741 0.6741 0.7477
Se7 Se 0.8259 0.1741 0.7523
Se8 Se 0.8259 0.8259 0.2477
```



[11]
This entry pairs a crystal structure of K2ZnSn2Se6 with its theoretical powder X-ray diffraction pattern. Radiation: λ = 1.5418 Å (Cu Kα). Structure: a structure optimized by DFT (PBE).
Kinematic intensities with the Lorentz-polarization factor, no thermal factor.

Top 8 peaks for 2θ from 5° to 70°, low angle first:
Position (°2θ)	intensity
14.87	99
27.22	100
29.99	37
34.44	71
43.59	54
45.67	23
48.29	23
51.40	25

```
data_K2ZnSn2Se6
_chemical_formula_sum 'K8 Zn4 Sn8 Se24'
_symmetry_space_group_name_H-M 'P 1'
_symmetry_Int_Tables_number 1
_cell_length_a 8.4276
_cell_length_b 8.4276
_cell_length_c 19.8763
_cell_angle_alpha 90.00
_cell_angle_beta 90.00
_cell_angle_gamma 90.00
loop_
_symmetry_equiv_pos_as_xyz
'x,y,z'
loop_
_atom_site_label
_atom_site_type_symbol
_atom_site_fract_x
_atom_site_fract_y
_atom_site_fract_z
K1 K 0.2500 0.2500 0.0315
K2 K 0.2500 0.2500 0.3235
K3 K 0.2500 0.2500 0.5315
K4 K 0.2500 0.2500 0.8235
K5 K 0.7500 0.7500 0.1765
K6 K 0.7500 0.7500 0.4685
K7 K 0.7500 0.7500 0.6765
K8 K 0.7500 0.7500 0.9685
Zn1 Zn 0.2500 0.7500 0.0000
Zn2 Zn 0.2500 0.7500 0.5000
Zn3 Zn 0.7500 0.2500 0.0000
Zn4 Zn 0.7500 0.2500 0.5000
Sn1 Sn 0.2500 0.7500 0.1614
Sn2 Sn 0.2500 0.7500 0.3386
Sn3 Sn 0.2500 0.7500 0.6614
Sn4 Sn 0.2500 0.7500 0.8386
Sn5 Sn 0.7500 0.2500 0.1614
Sn6 Sn 0.7500 0.2500 0.3386
Sn7 Sn 0.7500 0.2500 0.6614
Sn8 Sn 0.7500 0.2500 0.8386
Se1 Se 0.0734 0.5975 0.0808
Se2 Se 0.0734 0.9025 0.5808
Se3 Se 0.0876 0.5876 0.7500
Se4 Se 0.0876 0.9124 0.2500
Se5 Se 0.0975 0.5734 0.4192
Se6 Se 0.0975 0.9266 0.9192
Se7 Se 0.4025 0.5734 0.9192
Se8 Se 0.4025 0.9266 0.4192
Se9 Se 0.4124 0.5876 0.2500
Se10 Se 0.4124 0.9124 0.7500
Se11 Se 0.4266 0.5975 0.5808
Se12 Se 0.4266 0.9025 0.0808
Se13 Se 0.5734 0.0975 0.9192
Se14 Se 0.5734 0.4025 0.4192
Se15 Se 0.5876 0.0876 0.2500
Se16 Se 0.5876 0.4124 0.7500
Se17 Se 0.5975 0.0734 0.5808
Se18 Se 0.5975 0.4266 0.0808
Se19 Se 0.9025 0.0734 0.0808
Se20 Se 0.9025 0.4266 0.5808
Se21 Se 0.9124 0.0876 0.7500
Se22 Se 0.9124 0.4124 0.2500
Se23 Se 0.9266 0.0975 0.4192
Se24 Se 0.9266 0.4025 0.9192
```